No. 1
Diffraction record for LaTb4DyTm2. The powder diffractogram is simulated, not measured: it uses a crystal structure in Alexandria, relaxed with GGA-PBE and Cu Kα (weighted mean of Kα1 and Kα2).
No peak broadening, texture or thermal motion is included.

Crystal structure
```
data_LaTb4DyTm2
_chemical_formula_sum 'La2 Tb8 Dy2 Tm4'
_cell_length_a 7.1486
_cell_length_b 7.1494
_cell_length_c 11.5223
_cell_angle_alpha 89.98
_cell_angle_beta 89.95
_cell_angle_gamma 60.21
_space_group_name_H-M_alt 'P 1'
_space_group_IT_number 1
loop_
_space_group_symop_operation_xyz
'x,y,z'
loop_
_atom_site_label
_atom_site_type_symbol
_atom_site_fract_x
_atom_site_fract_y
_atom_site_fract_z
La1 La 0.0000 0.0000 0.0000
La2 La 0.5000 0.5000 0.0000
Tb1 Tb 0.1670 0.1668 0.2528
Tb2 Tb 0.1672 0.6668 0.2534
Tb3 Tb 0.3334 0.3332 0.7469
Tb4 Tb 0.3330 0.8329 0.7464
Tb5 Tb 0.6670 0.1671 0.2536
Tb6 Tb 0.6666 0.6668 0.2531
Tb7 Tb 0.8328 0.3332 0.7466
Tb8 Tb 0.8330 0.8332 0.7472
Dy1 Dy 0.0000 0.0000 0.5000
Dy2 Dy 0.5000 0.0000 0.0000
Tm1 Tm 0.0000 0.5000 0.0000
Tm2 Tm 0.0000 0.5000 0.5000
Tm3 Tm 0.5000 0.0000 0.5000
Tm4 Tm 0.5000 0.5000 0.5000
```

Top 6 peaks for 2θ from 10° to 80°, most intense first:
Position (°2θ)  I (rel.)
32.80  100
29.84  42
31.05  41
56.36  26
37.27  25
61.01  24



No. 2
Diffraction record for La2Tb5DyTm. The powder diffractogram is simulated, not measured: it uses a crystal structure in Alexandria, relaxed with GGA-PBE and Cu Kα (weighted mean of Kα1 and Kα2).
No peak broadening, texture or thermal motion is included.

Crystal structure
```
data_La2Tb5DyTm
_chemical_formula_sum 'La4 Tb10 Dy2 Tm2'
_cell_length_a 10.3569
_cell_length_b 10.3569
_cell_length_c 10.7275
_cell_angle_alpha 90.00
_cell_angle_beta 90.00
_cell_angle_gamma 148.32
_space_group_name_H-M_alt 'P 1'
_space_group_IT_number 1
loop_
_space_group_symop_operation_xyz
'x,y,z'
loop_
_atom_site_label
_atom_site_type_symbol
_atom_site_fract_x
_atom_site_fract_y
_atom_site_fract_z
La1 La 0.1134 0.8866 0.5000
La2 La 0.1158 0.8842 0.0839
La3 La 0.8842 0.1158 0.5839
La4 La 0.8866 0.1134 0.0000
Tb1 Tb 0.0162 0.9838 0.7881
Tb2 Tb 0.2800 0.7200 0.0768
Tb3 Tb 0.2989 0.7011 0.4721
Tb4 Tb 0.3853 0.6147 0.7868
Tb5 Tb 0.4812 0.5188 0.5066
Tb6 Tb 0.5188 0.4812 0.0066
Tb7 Tb 0.6147 0.3853 0.2868
Tb8 Tb 0.7011 0.2989 0.9721
Tb9 Tb 0.7200 0.2800 0.5768
Tb10 Tb 0.9838 0.0162 0.2881
Dy1 Dy 0.4113 0.5887 0.2277
Dy2 Dy 0.5887 0.4113 0.7277
Tm1 Tm 0.2002 0.7998 0.7778
Tm2 Tm 0.7998 0.2002 0.2778
```

Top 6 peaks for 2θ from 10° to 80°, most intense first:
Position (°2θ)  I (rel.)
32.15  100
31.65  41
29.90  37
56.68  21
28.13  17
33.41  13



No. 3
Diffraction record for LaTbDyTm3. The powder diffractogram is simulated, not measured: it uses a crystal structure in Alexandria, relaxed with GGA-PBE and Cu Kα (weighted mean of Kα1 and Kα2).
No peak broadening, texture or thermal motion is included.

Crystal structure
```
data_LaTbDyTm3
_chemical_formula_sum 'La2 Tb2 Dy2 Tm6'
_cell_length_a 6.4205
_cell_length_b 6.4205
_cell_length_c 11.6045
_cell_angle_alpha 90.00
_cell_angle_beta 90.00
_cell_angle_gamma 126.31
_space_group_name_H-M_alt 'P 1'
_space_group_IT_number 1
loop_
_space_group_symop_operation_xyz
'x,y,z'
loop_
_atom_site_label
_atom_site_type_symbol
_atom_site_fract_x
_atom_site_fract_y
_atom_site_fract_z
La1 La 0.0056 0.9944 0.7500
La2 La 0.9944 0.0056 0.2500
Tb1 Tb 0.5000 0.5000 0.0000
Tb2 Tb 0.5000 0.5000 0.5000
Dy1 Dy 0.3251 0.6749 0.7500
Dy2 Dy 0.6749 0.3251 0.2500
Tm1 Tm 0.1752 0.8248 0.0047
Tm2 Tm 0.1752 0.8248 0.4953
Tm3 Tm 0.3321 0.6679 0.2500
Tm4 Tm 0.6679 0.3321 0.7500
Tm5 Tm 0.8248 0.1752 0.5047
Tm6 Tm 0.8248 0.1752 0.9953
```

Top 6 peaks for 2θ from 10° to 80°, most intense first:
Position (°2θ)  I (rel.)
32.02  100
30.83  56
55.58  42
44.16  21
57.81  18
66.96  12



No. 4
Diffraction record for La2TbDy4Tm. The powder diffractogram is simulated, not measured: it uses a crystal structure in Alexandria, relaxed with GGA-PBE and Cu Kα (weighted mean of Kα1 and Kα2).
No peak broadening, texture or thermal motion is included.

Crystal structure
```
data_La2TbDy4Tm
_chemical_formula_sum 'La4 Tb2 Dy8 Tm2'
_cell_length_a 9.5339
_cell_length_b 9.5339
_cell_length_c 9.5339
_cell_angle_alpha 138.14
_cell_angle_beta 103.03
_cell_angle_gamma 91.71
_space_group_name_H-M_alt 'P 1'
_space_group_IT_number 1
loop_
_space_group_symop_operation_xyz
'x,y,z'
loop_
_atom_site_label
_atom_site_type_symbol
_atom_site_fract_x
_atom_site_fract_y
_atom_site_fract_z
La1 La 0.0000 0.0000 0.0000
La2 La 0.5000 0.0000 0.0000
La3 La 0.5000 0.0000 0.5000
La4 La 0.5000 0.5000 0.5000
Tb1 Tb 0.0000 0.5000 0.5000
Tb2 Tb 0.5000 0.5000 0.0000
Dy1 Dy 0.2428 0.7488 0.4940
Dy2 Dy 0.2441 0.2462 0.5022
Dy3 Dy 0.2441 0.7419 0.9978
Dy4 Dy 0.2452 0.2512 0.9940
Dy5 Dy 0.7548 0.7488 0.0060
Dy6 Dy 0.7559 0.2581 0.0022
Dy7 Dy 0.7559 0.7538 0.4978
Dy8 Dy 0.7572 0.2512 0.5060
Tm1 Tm 0.0000 0.0000 0.5000
Tm2 Tm 0.0000 0.5000 0.0000
```

Top 6 peaks for 2θ from 10° to 80°, most intense first:
Position (°2θ)  I (rel.)
30.26  100
40.89  88
26.85  67
30.12  50
40.79  44
64.35  34



No. 5
Diffraction record for La2Tb4DyY2. The powder diffractogram is simulated, not measured: it uses a crystal structure in Alexandria, relaxed with GGA-PBE and Cu Kα (weighted mean of Kα1 and Kα2).
No peak broadening, texture or thermal motion is included.

Crystal structure
```
data_La2Tb4DyY2
_chemical_formula_sum 'La2 Tb4 Dy1 Y2'
_cell_length_a 9.6002
_cell_length_b 9.6002
_cell_length_c 9.6473
_cell_angle_alpha 115.22
_cell_angle_beta 115.22
_cell_angle_gamma 21.82
_space_group_name_H-M_alt 'P 1'
_space_group_IT_number 1
loop_
_space_group_symop_operation_xyz
'x,y,z'
loop_
_atom_site_label
_atom_site_type_symbol
_atom_site_fract_x
_atom_site_fract_y
_atom_site_fract_z
La1 La 0.1651 0.1651 0.0000
La2 La 0.8349 0.8349 0.0000
Tb1 Tb 0.0195 0.0195 0.3353
Tb2 Tb 0.3147 0.3147 0.6630
Tb3 Tb 0.6853 0.6853 0.3370
Tb4 Tb 0.9805 0.9805 0.6647
Dy1 Dy 0.5000 0.5000 0.0000
Y1 Y 0.3532 0.3532 0.3376
Y2 Y 0.6468 0.6468 0.6624
```

Top 6 peaks for 2θ from 10° to 80°, most intense first:
Position (°2θ)  I (rel.)
31.59  100
33.27  92
30.86  51
60.14  45
28.59  40
50.25  39



No. 6
Diffraction record for LaTbDyY2. The powder diffractogram is simulated, not measured: it uses a crystal structure in Alexandria, relaxed with GGA-PBE and Cu Kα (weighted mean of Kα1 and Kα2).
No peak broadening, texture or thermal motion is included.

Crystal structure
```
data_LaTbDyY2
_chemical_formula_sum 'La1 Tb1 Dy1 Y2'
_cell_length_a 3.6132
_cell_length_b 5.5934
_cell_length_c 8.6877
_cell_angle_alpha 90.00
_cell_angle_beta 90.00
_cell_angle_gamma 90.00
_space_group_name_H-M_alt 'P 1'
_space_group_IT_number 1
loop_
_space_group_symop_operation_xyz
'x,y,z'
loop_
_atom_site_label
_atom_site_type_symbol
_atom_site_fract_x
_atom_site_fract_y
_atom_site_fract_z
La1 La 0.0000 0.0000 0.0000
Tb1 Tb 0.5000 0.5000 0.0000
Dy1 Dy 0.5000 0.0000 0.5000
Y1 Y 0.0000 0.5000 0.3200
Y2 Y 0.0000 0.5000 0.6800
```

Top 6 peaks for 2θ from 10° to 80°, most intense first:
Position (°2θ)  I (rel.)
31.22  100
32.00  34
20.45  29
25.97  19
56.55  18
61.49  18



No. 7
Diffraction record for LaTb6Dy2Y. The powder diffractogram is simulated, not measured: it uses a crystal structure in Alexandria, relaxed with GGA-PBE and Cu Kα (weighted mean of Kα1 and Kα2).
No peak broadening, texture or thermal motion is included.

Crystal structure
```
data_LaTb6Dy2Y
_chemical_formula_sum 'La2 Tb12 Dy4 Y2'
_cell_length_a 8.8413
_cell_length_b 8.8413
_cell_length_c 9.5930
_cell_angle_alpha 93.39
_cell_angle_beta 93.39
_cell_angle_gamma 117.83
_space_group_name_H-M_alt 'P 1'
_space_group_IT_number 1
loop_
_space_group_symop_operation_xyz
'x,y,z'
loop_
_atom_site_label
_atom_site_type_symbol
_atom_site_fract_x
_atom_site_fract_y
_atom_site_fract_z
La1 La 0.0277 0.9723 0.7500
La2 La 0.9723 0.0277 0.2500
Tb1 Tb 0.0178 0.5621 0.6812
Tb2 Tb 0.1226 0.7494 0.0570
Tb3 Tb 0.2506 0.8774 0.4430
Tb4 Tb 0.2922 0.5099 0.8815
Tb5 Tb 0.4379 0.9822 0.8188
Tb6 Tb 0.4901 0.7078 0.6185
Tb7 Tb 0.5099 0.2922 0.3815
Tb8 Tb 0.5621 0.0178 0.1812
Tb9 Tb 0.7078 0.4901 0.1185
Tb10 Tb 0.7494 0.1226 0.5570
Tb11 Tb 0.8774 0.2506 0.9430
Tb12 Tb 0.9822 0.4379 0.3188
Dy1 Dy 0.1990 0.3044 0.5473
Dy2 Dy 0.3044 0.1990 0.0473
Dy3 Dy 0.6956 0.8010 0.9527
Dy4 Dy 0.8010 0.6956 0.4527
Y1 Y 0.4093 0.5907 0.2500
Y2 Y 0.5907 0.4093 0.7500
```

Top 6 peaks for 2θ from 10° to 80°, most intense first:
Position (°2θ)  I (rel.)
31.10  100
30.54  99
33.83  54
28.33  39
31.52  33
32.22  24



No. 8
Diffraction record for La2TbDy2Y2. The powder diffractogram is simulated, not measured: it uses a crystal structure in Alexandria, relaxed with GGA-PBE and Cu Kα (weighted mean of Kα1 and Kα2).
No peak broadening, texture or thermal motion is included.

Crystal structure
```
data_La2TbDy2Y2
_chemical_formula_sum 'La4 Tb2 Dy4 Y4'
_cell_length_a 11.8575
_cell_length_b 3.5349
_cell_length_c 11.9518
_cell_angle_alpha 90.00
_cell_angle_beta 108.67
_cell_angle_gamma 90.00
_space_group_name_H-M_alt 'P 1'
_space_group_IT_number 1
loop_
_space_group_symop_operation_xyz
'x,y,z'
loop_
_atom_site_label
_atom_site_type_symbol
_atom_site_fract_x
_atom_site_fract_y
_atom_site_fract_z
La1 La 0.1720 0.0000 0.0845
La2 La 0.3280 0.5000 0.9155
La3 La 0.6720 0.5000 0.0845
La4 La 0.8280 0.0000 0.9155
Tb1 Tb 0.0000 0.5000 0.5000
Tb2 Tb 0.5000 0.0000 0.5000
Dy1 Dy 0.2281 0.5000 0.3671
Dy2 Dy 0.2719 0.0000 0.6329
Dy3 Dy 0.7281 0.0000 0.3671
Dy4 Dy 0.7719 0.5000 0.6329
Y1 Y 0.0478 0.0000 0.7684
Y2 Y 0.4522 0.5000 0.2316
Y3 Y 0.5478 0.5000 0.7684
Y4 Y 0.9522 0.0000 0.2316
```

Top 6 peaks for 2θ from 10° to 80°, most intense first:
Position (°2θ)  I (rel.)
32.18  100
30.48  83
35.02  77
30.24  70
32.54  56
28.33  55